[1]
For Dy2Tm2Pu, a GGA-PBE-relaxed structure gives the simulated powder diffraction line list in this record (Cu Ka).
Neutral-atom scattering factors, no anomalous dispersion.

Structure:
Cell: 8.828 8.828 8.828 Å, 135.75 60.41 141.03°
Fractional coordinates of all 10 atoms:
Dy1 0.189 0.156 0.346
Dy2 0.311 0.656 0.967
Dy3 0.689 0.344 0.033
Dy4 0.811 0.844 0.654
Tm1 0.088 0.631 0.718
Tm2 0.412 0.131 0.543
Tm3 0.588 0.869 0.457
Tm4 0.912 0.369 0.282
Pu1 0.250 0.250 0.000
Pu2 0.750 0.750 0.000

Main lines, low angle first (10° ≤ 2θ ≤ 80°):
Position (°2θ)  I/Imax
11.6  26
29.3  26
31.0  100
31.4  91
32.3  79
33.8  49
37.8  39
38.6  23
41.0  29
60.4  42

[2]
For BaMg2Tl4In, a GGA-PBE-relaxed structure gives the simulated powder diffraction line list in this record (Cu Ka).
Neutral-atom scattering factors, no anomalous dispersion.

Structure:
Cell: 10.382 10.382 10.382 Å, 29.50 29.50 29.50°
Fractional coordinates of all 8 atoms:
Ba1 0.000 0.000 0.000
Mg1 0.241 0.241 0.241
Mg2 0.759 0.759 0.759
Tl1 0.128 0.128 0.128
Tl2 0.396 0.396 0.396
Tl3 0.604 0.604 0.604
Tl4 0.872 0.872 0.872
In1 0.500 0.500 0.500

Main lines, low angle first (10° ≤ 2θ ≤ 80°):
Position (°2θ)  I/Imax
20.3  25
22.8  43
31.0  83
33.9  100
36.0  19
38.6  20
46.6  27
58.1  17
58.8  27
60.7  19

[3]
For KPm2B2S6, a GGA-PBE-relaxed structure gives the simulated powder diffraction line list in this record (Cu Ka).
Neutral-atom scattering factors, no anomalous dispersion.

Structure:
Cell: 5.922 5.922 8.534 Å, 91.59 91.59 106.70°
Fractional coordinates of all 11 atoms:
K1 0.000 0.000 0.000
Pm1 0.252 0.748 0.500
Pm2 0.748 0.252 0.500
B1 0.258 0.258 0.658
B2 0.742 0.742 0.342
S1 0.092 0.429 0.757
S2 0.246 0.246 0.440
S3 0.429 0.092 0.757
S4 0.571 0.908 0.243
S5 0.754 0.754 0.560
S6 0.908 0.571 0.243

Main lines, low angle first (10° ≤ 2θ ≤ 80°):
Position (°2θ)  I/Imax
10.4  100
18.7  14
20.8  11
21.4  25
31.5  16
32.2  12
32.9  22
33.7  31
37.4  12
43.6  11

[4]
For Rb2BaTeS4, a GGA-PBE-relaxed structure gives the simulated powder diffraction line list in this record (Cu Ka).
Neutral-atom scattering factors, no anomalous dispersion.

Structure:
Cell: 9.114 9.114 9.114 Å, 120.87 91.00 118.00°
Fractional coordinates of all 16 atoms:
Rb1 0.000 0.000 0.000
Rb2 0.000 0.500 0.500
Rb3 0.445 0.457 0.488
Rb4 0.969 0.957 0.512
Ba1 0.487 0.487 0.000
Ba2 0.487 0.987 0.500
Te1 0.033 0.533 0.000
Te2 0.534 0.033 0.000
S1 0.192 0.475 0.789
S2 0.192 0.903 0.217
S3 0.254 0.518 0.236
S4 0.282 0.018 0.764
S5 0.682 0.986 0.196
S6 0.687 0.403 0.211
S7 0.687 0.975 0.783
S8 0.790 0.486 0.804

Main lines, low angle first (10° ≤ 2θ ≤ 80°):
Position (°2θ)  I/Imax
22.5  16
23.5  47
24.2  47
27.5  100
27.9  50
39.6  64
40.1  19
45.9  15
47.0  17
49.6  18

[5]
For TlHg2S8, a GGA-PBE-relaxed structure gives the simulated powder diffraction line list in this record (Cu Ka).
Neutral-atom scattering factors, no anomalous dispersion.

Structure:
Cell: 5.312 5.322 11.436 Å, 97.51 91.35 92.62°
Fractional coordinates of all 11 atoms:
Tl1 0.000 0.000 0.000
Hg1 0.004 0.379 0.595
Hg2 0.996 0.621 0.405
S1 0.105 0.035 0.726
S2 0.447 0.520 0.276
S3 0.488 0.120 0.750
S4 0.497 0.666 0.973
S5 0.503 0.334 0.027
S6 0.512 0.880 0.250
S7 0.553 0.480 0.724
S8 0.895 0.965 0.274

Main lines, low angle first (10° ≤ 2θ ≤ 80°):
Position (°2θ)  I/Imax
16.7  70
19.5  100
22.6  26
23.5  28
23.9  25
25.1  36
26.5  52
33.8  71
34.5  27
38.0  42

[6]
For AcHgCl, a GGA-PBE-relaxed structure gives the simulated powder diffraction line list in this record (Cu Ka).
Neutral-atom scattering factors, no anomalous dispersion.

Structure:
Cell: 4.742 4.742 10.810 Å, 92.74 92.74 60.35°
Fractional coordinates of all 6 atoms:
Ac1 0.014 0.014 0.207
Ac2 0.986 0.986 0.793
Hg1 0.335 0.335 0.035
Hg2 0.665 0.665 0.965
Cl1 0.311 0.311 0.653
Cl2 0.689 0.689 0.347

Main lines, low angle first (10° ≤ 2θ ≤ 80°):
Position (°2θ)  I/Imax
26.6  42
27.6  100
32.2  33
33.5  45
37.7  30
38.0  57
38.5  25
46.8  19
47.0  21
50.4  19

[7]
For KEr4S6, a GGA-PBE-relaxed structure gives the simulated powder diffraction line list in this record (Cu Ka).
Neutral-atom scattering factors, no anomalous dispersion.

Structure:
Cell: 6.806 6.806 20.725 Å, 90.00 90.00 146.57°
Fractional coordinates of all 22 atoms:
K1 0.152 0.848 0.750
K2 0.848 0.152 0.250
Er1 0.100 0.900 0.134
Er2 0.100 0.900 0.366
Er3 0.369 0.631 0.041
Er4 0.369 0.631 0.459
Er5 0.631 0.369 0.541
Er6 0.631 0.369 0.959
Er7 0.900 0.100 0.634
Er8 0.900 0.100 0.866
S1 0.000 0.000 0.000
S2 0.000 0.000 0.500
S3 0.165 0.835 0.250
S4 0.271 0.729 0.579
S5 0.271 0.729 0.921
S6 0.465 0.535 0.152
S7 0.465 0.535 0.348
S8 0.535 0.465 0.652
S9 0.535 0.465 0.848
S10 0.729 0.271 0.079
S11 0.729 0.271 0.421
S12 0.835 0.165 0.750

Main lines, low angle first (10° ≤ 2θ ≤ 80°):
Position (°2θ)  I/Imax
25.3  30
25.5  100
27.4  34
31.0  45
32.0  50
33.2  32
33.4  53
42.4  28
45.3  45
47.2  38

[8]
For CrTc3As, a GGA-PBE-relaxed structure gives the simulated powder diffraction line list in this record (Cu Ka).
Neutral-atom scattering factors, no anomalous dispersion.

Structure:
Cell: 4.465 4.465 4.465 Å, 90.00 90.00 90.00°
Fractional coordinates of all 5 atoms:
Cr1 0.000 0.000 0.000
Tc1 0.000 0.500 0.500
Tc2 0.500 0.000 0.500
Tc3 0.500 0.500 0.000
As1 0.500 0.500 0.500

Main lines, low angle first (10° ≤ 2θ ≤ 80°):
Position (°2θ)  I/Imax
19.9  52
28.3  3
34.8  84
40.4  100
45.4  24
58.5  65
62.4  12
69.9  30
73.5  21
77.0  5

[9]
For La2Zn6Ag9, a GGA-PBE-relaxed structure gives the simulated powder diffraction line list in this record (Cu Ka).
Neutral-atom scattering factors, no anomalous dispersion.

Structure:
Cell: 5.674 5.674 13.064 Å, 90.00 90.00 120.00°
Fractional coordinates of all 17 atoms:
La1 0.000 0.000 0.172
La2 0.000 0.000 0.828
Zn1 0.333 0.667 0.165
Zn2 0.333 0.667 0.500
Zn3 0.333 0.667 0.835
Zn4 0.667 0.333 0.165
Zn5 0.667 0.333 0.500
Zn6 0.667 0.333 0.835
Ag1 0.000 0.500 0.000
Ag2 0.000 0.500 0.334
Ag3 0.000 0.500 0.666
Ag4 0.500 0.000 0.000
Ag5 0.500 0.000 0.334
Ag6 0.500 0.000 0.666
Ag7 0.500 0.500 0.000
Ag8 0.500 0.500 0.334
Ag9 0.500 0.500 0.666

Main lines, low angle first (10° ≤ 2θ ≤ 80°):
Position (°2θ)  I/Imax
18.1  24
27.4  35
36.6  58
37.8  100
41.5  35
42.2  62
56.5  31
60.4  24
65.8  25
73.2  13

[10]
For BaSrYb4O8, a GGA-PBE-relaxed structure gives the simulated powder diffraction line list in this record (Cu Ka).
Neutral-atom scattering factors, no anomalous dispersion.

Structure:
Cell: 3.440 12.098 10.279 Å, 90.00 90.00 90.00°
Fractional coordinates of all 28 atoms:
Ba1 0.000 0.097 0.000
Ba2 0.000 0.903 0.500
Sr1 0.500 0.402 0.508
Sr2 0.500 0.598 0.008
Yb1 0.000 0.143 0.328
Yb2 0.000 0.361 0.832
Yb3 0.000 0.639 0.332
Yb4 0.000 0.857 0.828
Yb5 0.500 0.146 0.673
Yb6 0.500 0.366 0.182
Yb7 0.500 0.634 0.682
Yb8 0.500 0.854 0.173
O1 0.000 0.034 0.735
O2 0.000 0.275 0.631
O3 0.000 0.332 0.333
O4 0.000 0.424 0.042
O5 0.000 0.576 0.542
O6 0.000 0.668 0.833
O7 0.000 0.725 0.131
O8 0.000 0.966 0.235
O9 0.500 0.089 0.464
O10 0.500 0.179 0.183
O11 0.500 0.234 0.871
O12 0.500 0.465 0.769
O13 0.500 0.535 0.269
O14 0.500 0.766 0.371
O15 0.500 0.821 0.683
O16 0.500 0.911 0.964

Main lines, low angle first (10° ≤ 2θ ≤ 80°):
Position (°2θ)  I/Imax
29.5  46
30.0  100
31.2  82
31.3  39
43.6  39
44.0  23
53.4  28
53.9  22
54.1  17
62.3  38

[11]
For Pm5Nd4Hg, a GGA-PBE-relaxed structure gives the simulated powder diffraction line list in this record (Cu Ka).
Neutral-atom scattering factors, no anomalous dispersion.

Structure:
Cell: 3.689 3.689 24.592 Å, 90.00 90.00 90.00°
Fractional coordinates of all 10 atoms:
Pm1 0.000 0.000 0.000
Pm2 0.000 0.000 0.209
Pm3 0.000 0.000 0.418
Pm4 0.000 0.000 0.582
Pm5 0.000 0.000 0.791
Nd1 0.500 0.500 0.104
Nd2 0.500 0.500 0.314
Nd3 0.500 0.500 0.686
Nd4 0.500 0.500 0.896
Hg1 0.500 0.500 0.500

Main lines, low angle first (10° ≤ 2θ ≤ 80°):
Position (°2θ)  I/Imax
30.3  100
32.7  5
34.4  40
36.5  10
49.4  15
51.0  16
58.2  6
59.1  30
63.0  9
79.7  5

[12]
For ScAlB, a GGA-PBE-relaxed structure gives the simulated powder diffraction line list in this record (Cu Ka).
Neutral-atom scattering factors, no anomalous dispersion.

Structure:
Cell: 5.631 4.882 4.719 Å, 71.80 55.44 52.76°
Fractional coordinates of all 6 atoms:
Sc1 0.182 0.818 0.182
Sc2 0.818 0.182 0.818
Al1 0.325 0.325 0.675
Al2 0.675 0.675 0.325
B1 0.250 0.250 0.250
B2 0.750 0.750 0.750

Main lines, low angle first (10° ≤ 2θ ≤ 80°):
Position (°2θ)  I/Imax
21.8  14
31.8  37
33.4  48
38.9  61
40.2  100
46.8  51
63.4  19
64.3  18
70.4  18
72.2  18